This entry pairs a crystal structure of KRb2AuBr6 with its calculated powder XRD pattern. Radiation: λ = 1.5418 Å (Cu Kα). Structure: a crystal structure in the Materials Project, relaxed with GGA-PBE.

Top 8 peaks for 2θ from 10° to 90°, sorted by position:
h k l, d (Å), I (rel.)
1 1 1, 6.689, 56
2 0 0, 5.792, 38
2 2 0, 4.096, 40
2 2 2, 3.344, 43
4 0 0, 2.896, 100
4 4 0, 2.048, 70
4 4 4, 1.672, 23
8 4 0, 1.295, 27

Structural model:
a b c (Å): 11.585 11.585 11.585
angles (deg): 90.00 90.00 90.00
Space group Fm-3m (No. 225)
Unique sites:
K 0.000 0.000 0.000 [4 per cell]
Rb 0.250 0.250 0.250 [8 per cell]
Au 0.000 0.000 0.500 [4 per cell]
Br 0.000 0.000 0.270 [24 per cell]